# 1
Computed X-ray powder pattern of TbCeNi17 for Cu Kα (λ = 1.5418 Å), from a DFT-relaxed cell (GGA-PBE, Alexandria).

Top 10 peaks for 10° ≤ 2θ ≤ 90°, by intensity:
- hkl 3 0 3, 43.99°, intensity 100
- hkl 2 2 0, 43.65°, intensity 62
- hkl 3 0 0, 37.56°, intensity 41
- hkl 0 0 6, 45.00°, intensity 33
- hkl 1 1 3, 30.94°, intensity 32
- hkl 0 2 4, 38.95°, intensity 27
- hkl 2 2 3, 49.43°, intensity 26
- hkl 2 2 6, 64.45°, intensity 25
- hkl 3 0 9, 82.31°, intensity 19
- hkl 6 0 0, 80.16°, intensity 18

Structural model:
```
data_TbCeNi17
_chemical_formula_sum 'Tb3 Ce3 Ni51'
_symmetry_space_group_name_H-M 'R 3 m'
_symmetry_Int_Tables_number 160
_symmetry_space_group_name_Hall 'R 3 -2"'
_cell_length_a 8.2952
_cell_length_b 8.2952
_cell_length_c 12.0876
_cell_angle_alpha 90.00
_cell_angle_beta 90.00
_cell_angle_gamma 120.00
loop_
_atom_site_label
_atom_site_fract_x
_atom_site_fract_y
_atom_site_fract_z
Tb1 0.0000 0.0000 0.0000
Ce1 0.0000 0.0000 0.6776
Ni1 0.0000 0.0000 0.2402
Ni2 0.0000 0.0000 0.4389
Ni3 0.0006 0.2940 0.3383
Ni4 0.0007 0.5003 0.4927
Ni5 0.0011 0.5005 0.1846
Ni6 0.0017 0.5009 0.8377
```



# 2
Computed X-ray powder pattern of NdHoGa4 for Cu Kα (λ = 1.5418 Å), from a DFT-relaxed cell (GGA-PBE, Alexandria).

Top 10 peaks for 10° ≤ 2θ ≤ 90°, by intensity:
- hkl 1 1 2, 32.41°, intensity 100
- hkl 1 0 5, 37.16°, intensity 52
- hkl 2 0 0, 42.94°, intensity 40
- hkl 1 0 3, 27.87°, intensity 33
- hkl 2 1 5, 58.06°, intensity 28
- hkl 1 0 7, 48.21°, intensity 25
- hkl 3 1 2, 72.04°, intensity 20
- hkl 2 1 7, 66.52°, intensity 19
- hkl 2 2 0, 62.35°, intensity 13
- hkl 2 1 3, 51.97°, intensity 12

Structural model:
```
data_NdHoGa4
_chemical_formula_sum 'Nd2 Ho2 Ga8'
_symmetry_space_group_name_H-M 'I -4 m 2'
_symmetry_Int_Tables_number 119
_symmetry_space_group_name_Hall 'I -4 -2'
_cell_length_a 4.212
_cell_length_b 4.212
_cell_length_c 14.780
_cell_angle_alpha 90.00
_cell_angle_beta 90.00
_cell_angle_gamma 90.00
loop_
_atom_site_label
_atom_site_fract_x
_atom_site_fract_y
_atom_site_fract_z
Nd1 0.000 0.000 0.000
Ho1 0.000 0.500 0.250
Ga1 0.000 0.000 0.416
Ga2 0.000 0.500 0.668
```